1.
The following is a theoretical powder X-ray diffraction pattern of Ca2ErSi3Au12. It was derived from a GGA-PBE-relaxed structure, using Cu Kα (λ = 1.5418 Å).
Peak positions follow from Bragg's law for the DFT cell and can differ from measured ones.

```
18
Lattice="4.476 2.584 5.891 -4.476 2.584 5.891 0.000 -5.169 5.891" Properties=species:S:1:pos:R:3 pbc="T T T"
Ca 0.000 0.000 1.675
Ca 0.000 0.000 15.999
Er 0.000 0.000 8.837
Si -2.238 -1.292 5.891
Si -2.238 1.292 11.782
Si 0.000 2.584 5.891
Au -2.450 -1.414 8.342
Au 0.000 -2.345 6.150
Au -2.031 1.172 6.150
Au 0.000 -2.829 9.331
Au -2.450 1.414 9.331
Au -2.031 -1.172 11.523
Au 2.031 1.172 6.150
Au 2.450 -1.414 8.342
Au 0.000 2.829 8.342
Au 2.031 -1.172 11.523
Au 0.000 2.345 11.523
Au 2.450 1.414 9.331
```

The 6 most intense peaks (10 to 80 degrees two-theta), in order of rising 2θ:
| 2θ/deg | I_rel |
| --- | --- |
| 30.3 | 37 |
| 30.7 | 39 |
| 32.2 | 61 |
| 34.3 | 59 |
| 40.3 | 100 |
| 51.3 | 43 |

---

2.
The following is a theoretical powder X-ray diffraction pattern of CaEuTlAu. It was derived from a GGA-PBE-relaxed structure, using Cu Kα (λ = 1.5418 Å).
Peak positions follow from Bragg's law for the DFT cell and can differ from measured ones.

```
16
Lattice="7.613 0.000 0.000 0.000 7.613 0.000 0.000 0.000 7.613" Properties=species:S:1:pos:R:3 pbc="T T T"
Ca 0.000 0.000 0.000
Ca 0.000 3.806 3.806
Ca 3.806 0.000 3.806
Ca 3.806 3.806 0.000
Eu 0.000 0.000 3.806
Eu 0.000 3.806 0.000
Eu 3.806 0.000 0.000
Eu 3.806 3.806 3.806
Tl 1.903 1.903 1.903
Tl 1.903 5.710 5.710
Tl 5.710 1.903 5.710
Tl 5.710 5.710 1.903
Au 1.903 1.903 5.710
Au 1.903 5.710 1.903
Au 5.710 1.903 1.903
Au 5.710 5.710 5.710
```

The 6 most intense peaks (10 to 80 degrees two-theta), in order of rising 2θ:
| 2θ/deg | I_rel |
| --- | --- |
| 23.4 | 14 |
| 33.3 | 100 |
| 47.8 | 18 |
| 59.5 | 38 |
| 69.9 | 12 |
| 79.7 | 17 |

---

3.
The following is a theoretical powder X-ray diffraction pattern of CaAu2F12. It was derived from a GGA-PBE-relaxed structure, using Cu Kα (λ = 1.5418 Å).
Peak positions follow from Bragg's law for the DFT cell and can differ from measured ones.

```
15
Lattice="6.080 0.000 0.000 0.000 6.080 0.000 0.000 0.000 7.049" Properties=species:S:1:pos:R:3 pbc="T T T"
Ca 0.000 0.000 0.000
Au 0.000 3.040 1.632
Au 3.040 0.000 5.417
F 0.000 3.040 3.564
F 0.000 3.040 6.724
F 1.266 1.550 1.544
F 1.266 4.531 1.544
F 1.550 1.266 5.505
F 1.550 4.814 5.505
F 3.040 0.000 0.325
F 3.040 0.000 3.485
F 4.531 1.266 5.505
F 4.531 4.814 5.505
F 4.814 1.550 1.544
F 4.814 4.531 1.544
```

The 6 most intense peaks (10 to 80 degrees two-theta), in order of rising 2θ:
| 2θ/deg | I_rel |
| --- | --- |
| 19.3 | 100 |
| 20.7 | 50 |
| 29.4 | 17 |
| 32.9 | 21 |
| 35.4 | 36 |
| 42.0 | 19 |

---

4.
The following is a theoretical powder X-ray diffraction pattern of Ca2Ga7Au. It was derived from a GGA-PBE-relaxed structure, using Cu Kα (λ = 1.5418 Å).
Peak positions follow from Bragg's law for the DFT cell and can differ from measured ones.

```
10
Lattice="4.253 0.000 0.000 0.000 4.253 0.000 0.000 0.000 11.331" Properties=species:S:1:pos:R:3 pbc="T T T"
Ca 0.000 0.000 0.000
Ca 2.126 2.126 5.651
Ga 0.000 0.000 4.366
Ga 0.000 2.126 2.804
Ga 0.000 2.126 8.527
Ga 2.126 0.000 2.804
Ga 2.126 0.000 8.527
Ga 2.126 2.126 1.246
Ga 2.126 2.126 10.095
Au 0.000 0.000 6.896
```

The 6 most intense peaks (10 to 80 degrees two-theta), in order of rising 2θ:
| 2θ/deg | I_rel |
| --- | --- |
| 22.3 | 76 |
| 31.7 | 50 |
| 33.7 | 100 |
| 42.5 | 74 |
| 43.9 | 78 |
| 45.3 | 45 |

---

5.
The following is a theoretical powder X-ray diffraction pattern of Ca3Ga6Au5. It was derived from a GGA-PBE-relaxed structure, using Cu Kα (λ = 1.5418 Å).
Peak positions follow from Bragg's law for the DFT cell and can differ from measured ones.

```
28
Lattice="4.351 0.000 0.000 0.000 13.041 0.000 0.000 0.000 9.981" Properties=species:S:1:pos:R:3 pbc="T T T"
Ca 1.088 0.717 2.457
Ca 1.088 5.804 2.457
Ca 1.088 9.781 2.544
Ca 3.263 3.260 7.437
Ca 3.263 7.237 7.524
Ca 3.263 12.324 7.524
Ga 1.088 0.940 5.944
Ga 1.088 3.260 0.350
Ga 1.088 3.260 4.217
Ga 1.088 5.581 5.944
Ga 1.088 7.789 9.818
Ga 1.088 11.772 9.818
Ga 3.263 1.268 0.163
Ga 3.263 5.252 0.163
Ga 3.263 7.460 4.037
Ga 3.263 9.781 5.764
Ga 3.263 9.781 9.630
Ga 3.263 12.101 4.037
Au 1.088 1.234 8.578
Au 1.088 5.286 8.578
Au 1.088 8.235 5.329
Au 1.088 9.781 7.944
Au 1.088 11.326 5.329
Au 3.263 1.715 4.652
Au 3.263 3.260 2.037
Au 3.263 4.806 4.652
Au 3.263 7.755 1.403
Au 3.263 11.806 1.403
```

The 6 most intense peaks (10 to 80 degrees two-theta), in order of rising 2θ:
| 2θ/deg | I_rel |
| --- | --- |
| 22.3 | 100 |
| 27.2 | 31 |
| 34.3 | 95 |
| 41.5 | 78 |
| 42.3 | 32 |
| 44.1 | 38 |

---

6.
The following is a theoretical powder X-ray diffraction pattern of Ca2Ga2Au5. It was derived from a GGA-PBE-relaxed structure, using Cu Kα (λ = 1.5418 Å).
Peak positions follow from Bragg's law for the DFT cell and can differ from measured ones.

```
9
Lattice="4.494 0.000 0.000 0.000 4.494 0.000 0.000 0.000 9.226" Properties=species:S:1:pos:R:3 pbc="T T T"
Ca 0.000 0.000 0.000
Ca 0.000 0.000 4.613
Ga 2.247 2.247 1.257
Ga 2.247 2.247 7.969
Au 0.000 2.247 2.533
Au 0.000 2.247 6.693
Au 2.247 0.000 2.533
Au 2.247 0.000 6.693
Au 2.247 2.247 4.613
```

The 6 most intense peaks (10 to 80 degrees two-theta), in order of rising 2θ:
| 2θ/deg | I_rel |
| --- | --- |
| 19.2 | 23 |
| 34.3 | 100 |
| 40.1 | 47 |
| 40.8 | 27 |
| 58.1 | 16 |
| 69.2 | 28 |

---

7.
The following is a theoretical powder X-ray diffraction pattern of Ca2Ga2Au. It was derived from a GGA-PBE-relaxed structure, using Cu Kα (λ = 1.5418 Å).
Peak positions follow from Bragg's law for the DFT cell and can differ from measured ones.

```
10
Lattice="5.389 -2.281 0.000 5.389 2.281 0.000 -5.059 0.000 9.686" Properties=species:S:1:pos:R:3 pbc="T T T"
Ca -1.548 0.000 3.197
Ca 1.511 0.000 1.077
Ca 4.208 0.000 8.610
Ca 7.267 0.000 6.490
Ga 1.628 0.000 4.283
Ga 4.658 0.000 1.071
Ga 1.061 0.000 8.615
Ga 4.090 0.000 5.404
Au -0.366 0.000 6.366
Au 6.085 0.000 3.320
```

The 6 most intense peaks (10 to 80 degrees two-theta), in order of rising 2θ:
| 2θ/deg | I_rel |
| --- | --- |
| 16.5 | 78 |
| 25.1 | 64 |
| 31.2 | 73 |
| 32.2 | 55 |
| 39.0 | 100 |
| 39.5 | 61 |

---

8.
The following is a theoretical powder X-ray diffraction pattern of CaGa4Au6. It was derived from a GGA-PBE-relaxed structure, using Cu Kα (λ = 1.5418 Å).
Peak positions follow from Bragg's law for the DFT cell and can differ from measured ones.

```
11
Lattice="7.246 0.000 0.000 -3.623 6.276 0.000 0.000 0.000 5.020" Properties=species:S:1:pos:R:3 pbc="T T T"
Ca 0.000 0.000 0.000
Ga -2.065 3.724 2.510
Ga 1.430 2.625 2.510
Ga 0.635 6.202 2.510
Ga 3.623 2.092 0.000
Au -1.253 3.089 0.000
Au 1.714 0.043 2.510
Au -0.322 5.817 0.000
Au 1.575 3.646 0.000
Au 2.803 4.769 2.510
Au 6.352 1.463 2.510
```

The 6 most intense peaks (10 to 80 degrees two-theta), in order of rising 2θ:
| 2θ/deg | I_rel |
| --- | --- |
| 22.7 | 54 |
| 24.6 | 36 |
| 33.7 | 34 |
| 35.8 | 46 |
| 37.9 | 41 |
| 42.1 | 100 |

---

9.
The following is a theoretical powder X-ray diffraction pattern of Ca2Ga3Au4. It was derived from a GGA-PBE-relaxed structure, using Cu Kα (λ = 1.5418 Å).
Peak positions follow from Bragg's law for the DFT cell and can differ from measured ones.

```
18
Lattice="2.959 -7.927 0.000 2.959 7.927 0.000 0.000 0.000 7.844" Properties=species:S:1:pos:R:3 pbc="T T T"
Ca 2.959 6.231 7.113
Ca 2.959 1.697 3.191
Ca 2.959 -1.697 4.653
Ca 2.959 -6.231 0.731
Ga 0.000 0.000 3.922
Ga 1.480 3.621 5.883
Ga 1.480 -3.621 1.961
Ga 2.959 0.000 0.000
Ga 4.439 3.621 5.883
Ga 4.439 -3.621 1.961
Au 2.959 5.077 4.148
Au 1.480 0.907 5.883
Au 1.480 -0.907 1.961
Au 2.959 2.851 0.226
Au 2.959 -2.851 7.618
Au 4.439 0.907 5.883
Au 4.439 -0.907 1.961
Au 2.959 -5.077 3.696
```

The 6 most intense peaks (10 to 80 degrees two-theta), in order of rising 2θ:
| 2θ/deg | I_rel |
| --- | --- |
| 25.2 | 33 |
| 25.3 | 60 |
| 34.1 | 49 |
| 34.3 | 37 |
| 38.1 | 100 |
| 41.2 | 34 |

---

10.
The following is a theoretical powder X-ray diffraction pattern of Ca2Ga5Au12. It was derived from a GGA-PBE-relaxed structure, using Cu Kα (λ = 1.5418 Å).
Peak positions follow from Bragg's law for the DFT cell and can differ from measured ones.

```
19
Lattice="4.780 2.760 4.724 -4.780 2.760 4.724 0.000 -5.520 4.724" Properties=species:S:1:pos:R:3 pbc="T T T"
Ca 0.000 0.000 2.186
Ca 0.000 0.000 11.987
Ga -2.390 -1.380 4.724
Ga 0.000 0.000 5.853
Ga -2.390 1.380 9.448
Ga 0.000 2.760 4.724
Ga 0.000 0.000 8.320
Au 0.000 -2.526 4.607
Au -2.188 1.263 4.607
Au -1.530 -2.650 7.086
Au -3.060 0.000 7.086
Au -2.188 -1.263 9.566
Au 1.530 -2.650 7.086
Au -1.530 2.650 7.086
Au 2.188 1.263 4.607
Au 3.060 0.000 7.086
Au 1.530 2.650 7.086
Au 2.188 -1.263 9.566
Au 0.000 2.526 9.566
```

The 6 most intense peaks (10 to 80 degrees two-theta), in order of rising 2θ:
| 2θ/deg | I_rel |
| --- | --- |
| 18.6 | 60 |
| 32.4 | 20 |
| 37.7 | 100 |
| 38.1 | 33 |
| 42.4 | 79 |
| 42.7 | 28 |

---

11.
The following is a theoretical powder X-ray diffraction pattern of Ca2Ga4Au3. It was derived from a GGA-PBE-relaxed structure, using Cu Kα (λ = 1.5418 Å).
Peak positions follow from Bragg's law for the DFT cell and can differ from measured ones.

```
18
Lattice="2.925 -7.893 0.000 2.925 7.893 0.000 0.000 0.000 7.934" Properties=species:S:1:pos:R:3 pbc="T T T"
Ca 2.925 6.220 7.180
Ca 2.925 1.673 3.213
Ca 2.925 -1.673 4.720
Ca 2.925 -6.220 0.753
Ga 2.925 5.085 4.100
Ga 1.463 1.025 5.950
Ga 1.463 -1.025 1.983
Ga 2.925 2.808 0.133
Ga 2.925 -2.808 7.800
Ga 4.388 1.025 5.950
Ga 4.388 -1.025 1.983
Ga 2.925 -5.085 3.833
Au 0.000 0.000 3.967
Au 1.463 3.675 5.950
Au 1.463 -3.675 1.983
Au 2.925 0.000 0.000
Au 4.388 3.675 5.950
Au 4.388 -3.675 1.983
```

The 6 most intense peaks (10 to 80 degrees two-theta), in order of rising 2θ:
| 2θ/deg | I_rel |
| --- | --- |
| 19.7 | 48 |
| 22.5 | 39 |
| 25.1 | 52 |
| 34.2 | 43 |
| 38.2 | 100 |
| 41.2 | 49 |

---

12.
The following is a theoretical powder X-ray diffraction pattern of Ca2Ga4Au5. It was derived from a GGA-PBE-relaxed structure, using Cu Kα (λ = 1.5418 Å).
Peak positions follow from Bragg's law for the DFT cell and can differ from measured ones.

```
11
Lattice="0.000 4.932 7.918 3.022 0.000 7.918 3.022 4.932 0.000" Properties=species:S:1:pos:R:3 pbc="T T T"
Ca 3.022 4.932 2.181
Ca 3.022 4.932 13.654
Ga 3.022 3.441 5.814
Ga 3.022 3.441 10.022
Ga 3.022 6.423 5.814
Ga 3.022 6.423 10.022
Au 1.511 2.466 0.000
Au 1.511 2.466 3.959
Au 1.511 2.466 7.918
Au 3.022 4.932 7.918
Au 4.533 7.398 11.877
```

The 6 most intense peaks (10 to 80 degrees two-theta), in order of rising 2θ:
| 2θ/deg | I_rel |
| --- | --- |
| 18.0 | 72 |
| 18.1 | 52 |
| 34.8 | 78 |
| 37.4 | 62 |
| 41.8 | 100 |
| 43.2 | 59 |